Starting from a crystal structure in the Materials Project, relaxed with PBE, the powder XRD pattern of LaCeAl2O6 was simulated for Cu Ka.

Main lines, sorted by position (15° ≤ 2θ ≤ 90°):
| 2θ (°) | d/Å | I/Imax |
| --- | --- | --- |
| 23.42 | 3.798 | 48 |
| 33.36 | 2.686 | 100 |
| 41.17 | 2.193 | 43 |
| 47.83 | 1.902 | 12 |
| 47.94 | 1.898 | 24 |
| 53.99 | 1.698 | 22 |
| 59.63 | 1.550 | 39 |
| 70.08 | 1.343 | 21 |
| 75.04 | 1.266 | 10 |
| 79.92 | 1.200 | 11 |

Structure:
Cell: 3.795 3.795 7.606 Å, 90.00 90.00 90.00°
Positions (direct):
La: 0.000 0.000 0.000
Ce: 0.000 0.000 0.500
Al: 0.500 0.500 0.251
Al: 0.500 0.500 0.749
O: 0.000 0.500 0.251
O: 0.000 0.500 0.749
O: 0.500 0.000 0.251
O: 0.500 0.000 0.749
O: 0.500 0.500 0.000
O: 0.500 0.500 0.500